The following is a simulated X-ray powder pattern of Se6Br7. It was derived from a crystal structure in Alexandria, relaxed with GGA-PBE, using a wavelength of 1.5418 Å.
Kinematic intensities with the Lorentz-polarization factor, no thermal factor.

The 8 most intense peaks (15° ≤ 2θ ≤ 90°), in order of rising 2θ:
- hkl 0 0 6, 19.3°, rel. 61
- hkl 1 1 0, 21.2°, rel. 70
- hkl 0 2 1, 24.8°, rel. 100
- hkl 1 0 7, 25.7°, rel. 37
- hkl 2 0 5, 29.5°, rel. 66
- hkl 2 2 0, 43.3°, rel. 67
- hkl 1 1 12, 45.0°, rel. 41
- hkl 2 2 6, 47.8°, rel. 31

Lattice parameters (Å, degrees): 8.3625 8.3625 27.5903 90.00 90.00 120.00
Space group R3m (No. 160, hexagonal axes)
One atom of each set of equivalent atoms:
Se 0.0000 0.0000 0.0000 x3
Se 0.0000 0.0000 0.0798 x3
Se 0.0000 0.0000 0.1739 x3
Se 0.0000 0.0000 0.2535 x3
Se 0.0000 0.0000 0.4198 x3
Se 0.0000 0.0000 0.8580 x3
Br 0.0000 0.0000 0.6748 x3
Br 0.0035 0.5018 0.2035 x9
Br 0.0314 0.5157 0.0491 x9